Simulated powder diffraction line list
Compound: Li2Mn2CrO6
Radiation: Cu Kα X-rays
Structure: DFT lattice parameters and positions (GGA+U)
Neutral-atom scattering factors, no anomalous dispersion.

Most intense lines, 2θ = 10–90°, by intensity:
17.32 deg, 5.120 Å, intensity 100
44.24 deg, 2.047 Å, intensity 32
36.19 deg, 2.482 Å, intensity 26
57.65 deg, 1.599 Å, intensity 18
38.65 deg, 2.330 Å, intensity 17
62.63 deg, 1.483 Å, intensity 15
49.83 deg, 1.830 Å, intensity 12
34.27 deg, 2.616 Å, intensity 8
39.37 deg, 2.289 Å, intensity 8
74.75 deg, 1.270 Å, intensity 5

Crystal structure
Lattice parameters (Å, degrees): 5.119 5.119 10.241 90.00 90.00 118.53
Sites, in units of the cell vectors:
Li: 0.118 0.118 0.000
Li: 0.368 0.368 0.500
Li: 0.632 0.632 0.000
Li: 0.882 0.882 0.500
Mn: 0.082 0.918 0.250
Mn: 0.409 0.591 0.250
Mn: 0.591 0.409 0.750
Mn: 0.918 0.082 0.750
Cr: 0.251 0.749 0.750
Cr: 0.749 0.251 0.250
O: 0.060 0.210 0.360
O: 0.081 0.591 0.154
O: 0.210 0.060 0.640
O: 0.256 0.405 0.851
O: 0.405 0.256 0.149
O: 0.409 0.919 0.346
O: 0.591 0.081 0.846
O: 0.595 0.744 0.649
O: 0.744 0.595 0.351
O: 0.790 0.940 0.140
O: 0.919 0.409 0.654
O: 0.940 0.790 0.860